Theoretical XRD peak list
Compound: ThSi
Radiation: Cu Kα, 1.54184 Å
Structure: a GGA-PBE-relaxed structure
Kinematic intensities with the Lorentz-polarization factor, no thermal factor.

Structure:
Lattice parameters (Å, degrees): 7.991 4.114 5.906 90.00 90.00 90.00
Atoms (fractional coordinates):
Th 0.180 0.250 0.123
Th 0.320 0.750 0.623
Th 0.680 0.250 0.377
Th 0.820 0.750 0.877
Si 0.038 0.250 0.626
Si 0.462 0.750 0.126
Si 0.538 0.250 0.874
Si 0.962 0.750 0.374

Principal peaks in the range 2θ = 5–70°, in order of falling intensity:
| (hkl) | Position (°2θ) | intensity |
| --- | --- | --- |
| 1 1 1 | 28.71 | 100 |
| 1 0 2 | 32.32 | 83 |
| 2 1 0 | 31.20 | 71 |
| 0 1 1 | 26.40 | 57 |
| 2 1 1 | 34.79 | 43 |
| 3 1 2 | 51.25 | 41 |

=====

Theoretical XRD peak list
Compound: Ti2Si
Radiation: Cu Kα, 1.54184 Å
Structure: a GGA-PBE-relaxed structure
Kinematic intensities with the Lorentz-polarization factor, no thermal factor.

Structure:
Lattice parameters (Å, degrees): 6.144 6.144 6.144 90.00 90.00 90.00
Atoms (fractional coordinates):
Ti 0.000 0.000 0.000
Ti 0.000 0.500 0.500
Ti 0.250 0.250 0.250
Ti 0.250 0.750 0.750
Ti 0.500 0.000 0.500
Ti 0.500 0.500 0.000
Ti 0.750 0.250 0.750
Ti 0.750 0.750 0.250
Si 0.000 0.000 0.500
Si 0.000 0.500 0.000
Si 0.500 0.000 0.000
Si 0.500 0.500 0.500

Principal peaks in the range 2θ = 5–70°, in order of falling intensity:
| (hkl) | Position (°2θ) | intensity |
| --- | --- | --- |
| 2 2 0 | 41.57 | 100 |
| 1 1 1 | 25.10 | 48 |
| 3 1 1 | 49.18 | 20 |
| 4 0 0 | 60.25 | 15 |
| 2 0 0 | 29.07 | 8 |
| 3 3 1 | 66.31 | 7 |

=====

Theoretical XRD peak list
Compound: TiSi
Radiation: Cu Kα, 1.54184 Å
Structure: a GGA-PBE-relaxed structure
Kinematic intensities with the Lorentz-polarization factor, no thermal factor.

Structure:
Lattice parameters (Å, degrees): 6.545 3.642 5.011 90.00 90.00 90.00
Atoms (fractional coordinates):
Ti 0.176 0.250 0.128
Ti 0.324 0.750 0.628
Ti 0.676 0.250 0.372
Ti 0.824 0.750 0.872
Si 0.045 0.250 0.646
Si 0.455 0.750 0.146
Si 0.545 0.250 0.854
Si 0.955 0.750 0.354

Principal peaks in the range 2θ = 5–70°, in order of falling intensity:
| (hkl) | Position (°2θ) | intensity |
| --- | --- | --- |
| 2 1 0 | 36.93 | 100 |
| 1 1 2 | 46.11 | 82 |
| 2 1 1 | 41.23 | 78 |
| 1 0 2 | 38.47 | 77 |
| 1 1 1 | 33.35 | 57 |
| 0 2 0 | 50.10 | 39 |

=====

Theoretical XRD peak list
Compound: Ti3Si
Radiation: Cu Kα, 1.54184 Å
Structure: a GGA-PBE-relaxed structure
Kinematic intensities with the Lorentz-polarization factor, no thermal factor.

Structure:
Lattice parameters (Å, degrees): 10.155 10.155 5.078 90.00 90.00 90.00
Atoms (fractional coordinates):
Ti 0.033 0.568 0.246
Ti 0.068 0.967 0.746
Ti 0.108 0.222 0.033
Ti 0.143 0.669 0.717
Ti 0.169 0.857 0.217
Ti 0.222 0.392 0.467
Ti 0.278 0.108 0.467
Ti 0.331 0.643 0.217
Ti 0.357 0.831 0.717
Ti 0.392 0.278 0.033
Ti 0.432 0.533 0.746
Ti 0.467 0.932 0.246
Ti 0.533 0.068 0.754
Ti 0.568 0.467 0.254
Ti 0.608 0.722 0.967
Ti 0.643 0.169 0.283
Ti 0.669 0.357 0.783
Ti 0.722 0.892 0.533
Ti 0.778 0.608 0.533
Ti 0.831 0.143 0.783
Ti 0.857 0.331 0.283
Ti 0.892 0.778 0.967
Ti 0.932 0.033 0.254
Ti 0.967 0.432 0.754
Si 0.045 0.208 0.540
Si 0.208 0.455 0.960
Si 0.292 0.045 0.960
Si 0.455 0.292 0.540
Si 0.545 0.708 0.460
Si 0.708 0.955 0.040
Si 0.792 0.545 0.040
Si 0.955 0.792 0.460

Principal peaks in the range 2θ = 5–70°, in order of falling intensity:
| (hkl) | Position (°2θ) | intensity |
| --- | --- | --- |
| 3 3 0 | 37.58 | 100 |
| 2 3 1 | 36.48 | 97 |
| 4 1 1 | 40.72 | 89 |
| 2 4 0 | 39.69 | 78 |
| 5 1 0 | 45.55 | 57 |
| 2 2 2 | 43.67 | 42 |

=====

Theoretical XRD peak list
Compound: Ti3Si
Radiation: Cu Kα, 1.54184 Å
Structure: a GGA-PBE-relaxed structure
Kinematic intensities with the Lorentz-polarization factor, no thermal factor.

Structure:
Lattice parameters (Å, degrees): 6.289 6.289 6.289 90.00 90.00 90.00
Atoms (fractional coordinates):
Ti 0.000 0.000 0.000
Ti 0.000 0.500 0.500
Ti 0.250 0.250 0.250
Ti 0.250 0.250 0.750
Ti 0.250 0.750 0.250
Ti 0.250 0.750 0.750
Ti 0.500 0.000 0.500
Ti 0.500 0.500 0.000
Ti 0.750 0.250 0.250
Ti 0.750 0.250 0.750
Ti 0.750 0.750 0.250
Ti 0.750 0.750 0.750
Si 0.000 0.000 0.500
Si 0.000 0.500 0.000
Si 0.500 0.000 0.000
Si 0.500 0.500 0.500

Principal peaks in the range 2θ = 5–70°, in order of falling intensity:
| (hkl) | Position (°2θ) | intensity |
| --- | --- | --- |
| 2 2 0 | 40.57 | 100 |
| 4 0 0 | 58.73 | 15 |
| 1 1 1 | 24.52 | 3 |
| 2 0 0 | 28.38 | 2 |
| 3 1 1 | 47.98 | 1 |

=====

Theoretical XRD peak list
Compound: TiSi
Radiation: Cu Kα, 1.54184 Å
Structure: a GGA-PBE-relaxed structure
Kinematic intensities with the Lorentz-polarization factor, no thermal factor.

Structure:
Lattice parameters (Å, degrees): 3.632 4.235 3.804 90.00 90.00 90.00
Atoms (fractional coordinates):
Ti 0.000 0.000 0.000
Ti 0.500 0.500 0.000
Si 0.000 0.500 0.500
Si 0.500 0.000 0.500

Principal peaks in the range 2θ = 5–70°, in order of falling intensity:
| (hkl) | Position (°2θ) | intensity |
| --- | --- | --- |
| 1 1 1 | 40.40 | 100 |
| 0 2 0 | 42.70 | 21 |
| 0 0 2 | 47.82 | 15 |
| 2 0 0 | 50.23 | 13 |
| 0 2 2 | 66.02 | 11 |
| 2 2 0 | 68.00 | 10 |

=====

Theoretical XRD peak list
Compound: TiSi
Radiation: Cu Kα, 1.54184 Å
Structure: a GGA-PBE-relaxed structure
Kinematic intensities with the Lorentz-polarization factor, no thermal factor.

Structure:
Lattice parameters (Å, degrees): 3.799 3.613 4.279 90.00 90.00 90.00
Atoms (fractional coordinates):
Ti 0.000 0.000 0.000
Ti 0.000 0.500 0.500
Si 0.500 0.000 0.512
Si 0.500 0.500 0.012

Principal peaks in the range 2θ = 5–70°, in order of falling intensity:
| (hkl) | Position (°2θ) | intensity |
| --- | --- | --- |
| 1 1 1 | 40.39 | 100 |
| 0 0 2 | 42.24 | 22 |
| 2 0 0 | 47.89 | 15 |
| 0 2 0 | 50.52 | 12 |
| 2 0 2 | 65.74 | 11 |
| 0 2 2 | 67.90 | 10 |

=====

Theoretical XRD peak list
Compound: Ti3Si
Radiation: Cu Kα, 1.54184 Å
Structure: a GGA-PBE-relaxed structure
Kinematic intensities with the Lorentz-polarization factor, no thermal factor.

Structure:
Lattice parameters (Å, degrees): 5.640 5.640 4.529 90.00 90.00 120.00
Atoms (fractional coordinates):
Ti 0.171 0.343 0.250
Ti 0.171 0.829 0.250
Ti 0.343 0.171 0.750
Ti 0.657 0.829 0.250
Ti 0.829 0.171 0.750
Ti 0.829 0.657 0.750
Si 0.333 0.667 0.750
Si 0.667 0.333 0.250

Principal peaks in the range 2θ = 5–70°, in order of falling intensity:
| (hkl) | Position (°2θ) | intensity |
| --- | --- | --- |
| 2 0 1 | 42.03 | 100 |
| 0 0 2 | 39.81 | 26 |
| 2 0 0 | 36.80 | 25 |
| 2 2 0 | 66.29 | 15 |
| 2 0 2 | 55.33 | 14 |
| 1 0 1 | 26.85 | 6 |

=====

Theoretical XRD peak list
Compound: Ti5Si4
Radiation: Cu Kα, 1.54184 Å
Structure: a GGA-PBE-relaxed structure
Kinematic intensities with the Lorentz-polarization factor, no thermal factor.

Structure:
Lattice parameters (Å, degrees): 6.709 6.709 12.199 90.00 90.00 90.00
Atoms (fractional coordinates):
Ti 0.002 0.347 0.218
Ti 0.004 0.852 0.122
Ti 0.148 0.996 0.378
Ti 0.153 0.502 0.468
Ti 0.172 0.172 0.000
Ti 0.328 0.672 0.250
Ti 0.347 0.002 0.782
Ti 0.352 0.496 0.872
Ti 0.496 0.352 0.128
Ti 0.498 0.847 0.032
Ti 0.502 0.153 0.532
Ti 0.504 0.648 0.628
Ti 0.648 0.504 0.372
Ti 0.653 0.998 0.282
Ti 0.672 0.328 0.750
Ti 0.828 0.828 0.500
Ti 0.847 0.498 0.968
Ti 0.852 0.004 0.878
Ti 0.996 0.148 0.622
Ti 0.998 0.653 0.718
Si 0.045 0.301 0.813
Si 0.144 0.795 0.923
Si 0.199 0.545 0.063
Si 0.205 0.856 0.577
Si 0.295 0.356 0.673
Si 0.301 0.045 0.187
Si 0.356 0.295 0.327
Si 0.455 0.801 0.437
Si 0.545 0.199 0.937
Si 0.644 0.705 0.827
Si 0.699 0.955 0.687
Si 0.705 0.644 0.173
Si 0.795 0.144 0.077
Si 0.801 0.455 0.563
Si 0.856 0.205 0.423
Si 0.955 0.699 0.313

Principal peaks in the range 2θ = 5–70°, in order of falling intensity:
| (hkl) | Position (°2θ) | intensity |
| --- | --- | --- |
| 2 2 1 | 38.67 | 100 |
| 1 1 5 | 41.63 | 86 |
| 2 1 3 | 37.24 | 86 |
| 3 0 2 | 43.08 | 83 |
| 1 1 4 | 34.98 | 32 |
| 4 0 2 | 56.94 | 20 |

=====

Theoretical XRD peak list
Compound: Ti5Si3
Radiation: Cu Kα, 1.54184 Å
Structure: a GGA-PBE-relaxed structure
Kinematic intensities with the Lorentz-polarization factor, no thermal factor.

Structure:
Lattice parameters (Å, degrees): 7.467 7.467 5.119 90.00 90.00 120.00
Atoms (fractional coordinates):
Ti 0.000 0.251 0.250
Ti 0.000 0.749 0.750
Ti 0.251 0.000 0.250
Ti 0.251 0.251 0.750
Ti 0.333 0.667 0.000
Ti 0.333 0.667 0.500
Ti 0.667 0.333 0.000
Ti 0.667 0.333 0.500
Ti 0.749 0.000 0.750
Ti 0.749 0.749 0.250
Si 0.000 0.392 0.750
Si 0.000 0.608 0.250
Si 0.392 0.000 0.750
Si 0.392 0.392 0.250
Si 0.608 0.000 0.250
Si 0.608 0.608 0.750

Principal peaks in the range 2θ = 5–70°, in order of falling intensity:
| (hkl) | Position (°2θ) | intensity |
| --- | --- | --- |
| 2 1 1 | 40.91 | 100 |
| 1 1 2 | 42.83 | 84 |
| 3 0 0 | 41.91 | 54 |
| 2 1 0 | 36.77 | 39 |
| 1 0 2 | 37.80 | 23 |
| 2 1 3 | 66.87 | 21 |

=====

Theoretical XRD peak list
Compound: U2Ti3Si4
Radiation: Cu Kα, 1.54184 Å
Structure: a GGA-PBE-relaxed structure
Kinematic intensities with the Lorentz-polarization factor, no thermal factor.

Structure:
Lattice parameters (Å, degrees): 6.866 6.852 6.971 90.00 110.66 90.00
Atoms (fractional coordinates):
U 0.152 0.130 0.051
U 0.152 0.370 0.551
U 0.848 0.630 0.449
U 0.848 0.870 0.949
Ti 0.254 0.684 0.251
Ti 0.254 0.816 0.751
Ti 0.500 0.000 0.500
Ti 0.500 0.500 0.000
Ti 0.746 0.184 0.249
Ti 0.746 0.316 0.749
Si 0.087 0.536 0.883
Si 0.087 0.964 0.383
Si 0.476 0.134 0.861
Si 0.476 0.366 0.361
Si 0.524 0.634 0.639
Si 0.524 0.866 0.139
Si 0.913 0.036 0.617
Si 0.913 0.464 0.117

Principal peaks in the range 2θ = 5–70°, in order of falling intensity:
| (hkl) | Position (°2θ) | intensity |
| --- | --- | --- |
| 2 2 -1 | 37.28 | 100 |
| 1 2 1 | 34.72 | 82 |
| 0 1 1 | 18.78 | 82 |
| 1 1 2 | 37.43 | 65 |
| 1 0 0 | 13.78 | 64 |
| 1 1 -1 | 20.29 | 60 |

=====

Theoretical XRD peak list
Compound: TmSi
Radiation: Cu Kα, 1.54184 Å
Structure: a GGA-PBE-relaxed structure
Kinematic intensities with the Lorentz-polarization factor, no thermal factor.

Structure:
Lattice parameters (Å, degrees): 4.207 10.387 3.796 90.00 90.00 90.00
Atoms (fractional coordinates):
Tm 0.000 0.140 0.250
Tm 0.000 0.860 0.750
Tm 0.500 0.360 0.750
Tm 0.500 0.640 0.250
Si 0.000 0.422 0.250
Si 0.000 0.578 0.750
Si 0.500 0.078 0.750
Si 0.500 0.922 0.250

Principal peaks in the range 2θ = 5–70°, in order of falling intensity:
| (hkl) | Position (°2θ) | intensity |
| --- | --- | --- |
| 1 1 1 | 32.93 | 100 |
| 0 2 1 | 29.14 | 66 |
| 1 3 0 | 33.52 | 53 |
| 1 1 0 | 22.81 | 39 |
| 1 3 1 | 41.31 | 30 |
| 0 4 0 | 34.54 | 30 |